MgTl4Br6: computed powder XRD pattern (copper Kα), based on DFT lattice parameters and positions (GGA-PBE).
Peak positions follow from Bragg's law for the DFT cell and can differ from measured ones.

Atomic structure:
```
data_MgTl4Br6
_chemical_formula_sum 'Mg4 Tl16 Br24'
_cell_length_a 16.744
_cell_length_b 8.692
_cell_length_c 14.647
_cell_angle_alpha 90.00
_cell_angle_beta 118.32
_cell_angle_gamma 90.00
_symmetry_space_group_name_H-M 'C 1 c 1'
_symmetry_Int_Tables_number 9
_symmetry_space_group_name_Hall 'C -2yc'
loop_
_atom_site_label
_atom_site_type_symbol
_atom_site_fract_x
_atom_site_fract_y
_atom_site_fract_z
Mg1 Mg 0.000 0.241 0.000
Tl1 Tl 0.065 0.354 0.762
Tl2 Tl 0.227 0.112 0.271
Tl3 Tl 0.282 0.418 0.579
Tl4 Tl 0.455 0.291 0.910
Br1 Br 0.001 0.018 0.111
Br2 Br 0.119 0.314 0.364
Br3 Br 0.161 0.269 0.033
Br4 Br 0.243 0.258 0.747
Br5 Br 0.408 0.339 0.313
Br6 Br 0.424 0.027 0.527
```

Most intense lines, 2θ from 10° to 90°, sorted by position:
2θ (°)	d/Å	I_rel	(hkl)
18.97	4.678	42.8	3 1 -1
19.60	4.528	100.0	3 1 -2
21.58	4.119	43.3	0 2 1
24.70	3.604	29.4	0 2 2
26.29	3.390	71.6	1 1 3
29.47	3.031	29.4	3 1 2
32.26	2.775	30.2	6 0 -2
35.20	2.549	32.8	5 1 -5
37.07	2.425	29.2	4 0 -6
38.49	2.339	32.1	6 2 -2